Starting from a DFT-relaxed cell (PBE, OQMD), the powder diffraction line list of RbThNi was calculated for λ = 1.5418 Å (Cu Kα).

Largest 10 diffraction maxima, in order of falling intensity, 2θ = 5–70°:
d [Å]  I (rel.)
2.498  100
3.533  52
4.080  37
1.443  36
1.580  22
2.131  21
1.767  18
2.040  16
1.621  9
1.360  7

Cell and atoms:
```
data_RbThNi
_chemical_formula_sum 'Rb1 Th1 Ni1'
_cell_length_a 4.997
_cell_length_b 4.997
_cell_length_c 4.997
_cell_angle_alpha 60.00
_cell_angle_beta 60.00
_cell_angle_gamma 60.00
_symmetry_space_group_name_H-M 'P 1'
_symmetry_Int_Tables_number 1
loop_
_symmetry_equiv_pos_as_xyz
'x,y,z'
loop_
_atom_site_label
_atom_site_type_symbol
_atom_site_fract_x
_atom_site_fract_y
_atom_site_fract_z
_atom_site_occupancy
Rb1 Rb 0.000 0.000 0.000 1
Th1 Th 0.500 0.500 0.500 1
Ni1 Ni 0.750 0.750 0.750 1
```